Computed X-ray diffraction stick pattern of SrPrZrMnO6 for copper Kα, from a cell relaxed with PBE+U.
Neutral-atom scattering factors, no anomalous dispersion.

Atomic structure:
Lattice parameters (Å, degrees): 5.748 5.748 5.748 60.00 60.00 60.00
Element x y z (fractional)
Sr: 0.000 0.000 0.000
Pr: 0.500 0.500 0.500
Zr: 0.750 0.750 0.750
Mn: 0.250 0.250 0.250
O: 0.005 0.005 0.495
O: 0.005 0.495 0.005
O: 0.005 0.495 0.495
O: 0.495 0.005 0.005
O: 0.495 0.005 0.495
O: 0.495 0.495 0.005

Top 12 peaks for 15 to 90 degrees two-theta, low angle first:
2θ (°)	I/Imax
18.91	76
21.87	17
31.12	1000
36.67	46
38.36	101
44.59	340
48.84	22
55.37	391
64.89	202
73.71	168
77.97	30
82.15	66